1.
For Ca3Np3SiN8, DFT lattice parameters and positions (GGA-PBE) gives the computed powder diffractogram in this record (Cu Kα (λ = 1.5418 Å)).

Structural model:
Lattice parameters (Å, degrees): 6.632 6.635 6.873 118.76 90.21 119.81
Sites, in units of the cell vectors:
Ca  0.000  0.000  0.000
Ca  0.000  0.500  0.000
Ca  0.500  0.000  0.000
Np  0.000  0.000  0.500
Np  0.500  0.000  0.500
Np  0.500  0.500  0.500
Si  0.000  0.500  0.500
N  0.210  0.477  0.687
N  0.216  0.932  0.690
N  0.240  0.526  0.311
N  0.257  0.014  0.270
N  0.743  0.986  0.730
N  0.760  0.474  0.689
N  0.784  0.068  0.310
N  0.790  0.523  0.313

The 10 most intense peaks (2θ from 10° to 90°), low angle first:
2θ/deg, I_rel
15.52, 100
18.59, 30
31.33, 28
31.52, 32
32.86, 71
37.63, 53
37.79, 26
40.98, 21
53.35, 27
55.41, 17

2.
For CaEr3Te6, DFT lattice parameters and positions (GGA-PBE) gives the computed powder diffractogram in this record (Cu Kα (λ = 1.5418 Å)).

Structural model:
Lattice parameters (Å, degrees): 12.956 4.327 13.039 90.00 113.38 90.00
Sites, in units of the cell vectors:
Ca  0.214  0.250  0.052
Ca  0.786  0.750  0.948
Er  0.021  0.750  0.281
Er  0.339  0.250  0.434
Er  0.407  0.750  0.835
Er  0.593  0.250  0.165
Er  0.661  0.750  0.566
Er  0.979  0.250  0.719
Te  0.038  0.750  0.903
Te  0.114  0.250  0.453
Te  0.231  0.250  0.779
Te  0.248  0.750  0.256
Te  0.412  0.750  0.074
Te  0.442  0.750  0.612
Te  0.558  0.250  0.388
Te  0.588  0.250  0.926
Te  0.752  0.250  0.744
Te  0.769  0.750  0.221
Te  0.886  0.750  0.547
Te  0.962  0.250  0.097

The 10 most intense peaks (2θ from 10° to 90°), low angle first:
2θ/deg, I_rel
13.69, 70
24.05, 74
27.70, 86
28.17, 70
30.48, 100
36.16, 49
39.16, 35
39.89, 36
41.75, 59
43.39, 54